This entry pairs a crystal structure of La5Ga2 with its calculated powder diffractogram. Radiation: Cu Kα X-rays. Structure: a DFT-relaxed cell (GGA-PBE, Alexandria).

Structure:
Cell: 8.1393 15.3387 6.8118 Å, 90.00 90.00 90.00°
Space group Ibam (No. 72)
Asymmetric unit:
La 0.0000 0.0000 0.2500 (multiplicity 4)
La 0.0000 0.2401 0.2500 (multiplicity 8)
La 0.1584 0.4223 0.0000 (multiplicity 8)
Ga 0.2329 0.3750 0.5000 (multiplicity 8)

Top 8 peaks for 5° ≤ 2θ ≤ 70°, sorted by position:
- d = 3.091 Å, 2θ = 28.88°, I 324, hkl 1 4 1
- d = 3.078 Å, 2θ = 29.01°, I 620, hkl 1 1 2
- d = 2.871 Å, 2θ = 31.16°, I 349, hkl 1 5 0
- d = 2.791 Å, 2θ = 32.07°, I 935, hkl 2 4 0
- d = 2.672 Å, 2θ = 33.54°, I 475, hkl 3 1 0
- d = 2.612 Å, 2θ = 34.33°, I 1000, hkl 2 0 2
- d = 2.546 Å, 2θ = 35.24°, I 891, hkl 0 4 2
- d = 1.746 Å, 2θ = 52.41°, I 428, hkl 4 0 2